This entry pairs a crystal structure of IrRuOF2 with its theoretical XRD peak list. Radiation: Cu Kα (λ = 1.5418 Å). Structure: the PBE geometry in Alexandria.
No peak broadening, texture or thermal motion is included.

Atomic structure:
```
IrRuOF2
1.0
4.491 0.000 0.000
0.000 4.491 0.000
0.000 0.000 3.689
Ir Ru O F
1 1 1 2
direct
0.000 0.000 0.000
0.500 0.500 0.500
0.000 0.000 0.500
0.000 0.500 0.000
0.500 0.000 0.000
```

The 10 most intense peaks (2θ from 10° to 80°), in order of rising 2θ:
- 2θ = 19.77°, rel. 21.1
- 2θ = 28.10°, rel. 63.5
- 2θ = 31.38°, rel. 100.0
- 2θ = 40.16°, rel. 40.7
- 2θ = 51.83°, rel. 50.1
- 2θ = 57.81°, rel. 17.3
- 2θ = 58.09°, rel. 13.2
- 2θ = 65.48°, rel. 18.1
- 2θ = 65.75°, rel. 11.8
- 2θ = 67.52°, rel. 11.5

***

This entry pairs a crystal structure of IrPbF6 with its theoretical XRD peak list. Radiation: Cu Kα (λ = 1.5418 Å). Structure: the PBE geometry in Alexandria.
No peak broadening, texture or thermal motion is included.

Atomic structure:
```
IrPbF6
1.0
5.488 0.000 0.000
-2.744 4.753 0.000
0.000 0.000 10.397
Ir Pb F
2 2 12
direct
0.000 0.000 0.000
0.000 0.000 0.500
0.333 0.667 0.250
0.667 0.333 0.750
0.017 0.299 0.611
0.017 0.719 0.889
0.281 0.299 0.889
0.281 0.983 0.611
0.299 0.017 0.111
0.299 0.281 0.389
0.701 0.719 0.611
0.701 0.983 0.889
0.719 0.017 0.389
0.719 0.701 0.111
0.983 0.281 0.111
0.983 0.701 0.389
```

The 10 most intense peaks (2θ from 10° to 80°), in order of rising 2θ:
- 2θ = 18.67°, rel. 14.2
- 2θ = 20.55°, rel. 56.7
- 2θ = 25.39°, rel. 100.0
- 2θ = 31.96°, rel. 21.4
- 2θ = 32.63°, rel. 35.0
- 2θ = 38.87°, rel. 13.5
- 2θ = 41.79°, rel. 25.8
- 2θ = 48.22°, rel. 40.7
- 2θ = 54.00°, rel. 25.6
- 2θ = 58.23°, rel. 13.3

***

This entry pairs a crystal structure of SiIrPdF2 with its theoretical XRD peak list. Radiation: Cu Kα (λ = 1.5418 Å). Structure: the PBE geometry in Alexandria.
No peak broadening, texture or thermal motion is included.

Atomic structure:
```
SiIrPdF2
1.0
3.904 0.000 0.000
0.000 3.904 0.000
0.000 0.000 5.516
Si Ir Pd F
1 1 1 2
direct
0.000 0.000 0.000
0.500 0.500 0.500
0.500 0.500 0.000
0.000 0.500 0.500
0.500 0.000 0.500
```

The 10 most intense peaks (2θ from 10° to 80°), in order of rising 2θ:
- 2θ = 22.78°, rel. 100.0
- 2θ = 28.00°, rel. 19.8
- 2θ = 32.45°, rel. 85.4
- 2θ = 40.03°, rel. 46.9
- 2θ = 46.54°, rel. 62.7
- 2θ = 52.41°, rel. 21.6
- 2θ = 57.88°, rel. 28.3
- 2θ = 63.02°, rel. 24.8
- 2θ = 67.94°, rel. 12.9
- 2θ = 77.32°, rel. 28.5

***

This entry pairs a crystal structure of Pm4Ir2F5 with its theoretical XRD peak list. Radiation: Cu Kα (λ = 1.5418 Å). Structure: the PBE geometry in Alexandria.
No peak broadening, texture or thermal motion is included.

Atomic structure:
```
Pm4Ir2F5
1.0
10.050 -1.881 0.000
10.050 1.881 0.000
-1.464 0.000 6.850
Pm Ir F
4 2 5
direct
0.024 0.024 0.278
0.162 0.162 0.911
0.838 0.838 0.089
0.976 0.976 0.722
0.431 0.431 0.981
0.569 0.569 0.019
0.094 0.094 0.603
0.267 0.267 0.149
0.500 0.500 0.500
0.733 0.733 0.851
0.906 0.906 0.397
```

The 10 most intense peaks (2θ from 10° to 80°), in order of rising 2θ:
- 2θ = 12.92°, rel. 100.0
- 2θ = 24.40°, rel. 24.4
- 2θ = 26.96°, rel. 15.8
- 2θ = 32.95°, rel. 14.9
- 2θ = 33.67°, rel. 32.2
- 2θ = 34.99°, rel. 49.9
- 2θ = 35.99°, rel. 25.1
- 2θ = 40.05°, rel. 48.1
- 2θ = 40.46°, rel. 15.5
- 2θ = 48.39°, rel. 23.9

***

This entry pairs a crystal structure of Pm4Ir2F with its theoretical XRD peak list. Radiation: Cu Kα (λ = 1.5418 Å). Structure: the PBE geometry in Alexandria.
No peak broadening, texture or thermal motion is included.

Atomic structure:
```
Pm4Ir2F
1.0
8.567 -2.186 0.000
8.567 2.186 0.000
-6.056 0.000 10.557
Pm Ir F
8 4 2
direct
0.041 0.041 0.255
0.202 0.202 0.071
0.225 0.225 0.601
0.420 0.420 0.348
0.580 0.580 0.652
0.775 0.775 0.399
0.798 0.798 0.929
0.959 0.959 0.745
0.171 0.171 0.811
0.384 0.384 0.567
0.616 0.616 0.433
0.829 0.829 0.189
0.085 0.085 0.109
0.915 0.915 0.891
```

The 10 most intense peaks (2θ from 10° to 80°), in order of rising 2θ:
- 2θ = 10.61°, rel. 49.3
- 2θ = 23.90°, rel. 84.3
- 2θ = 28.99°, rel. 48.8
- 2θ = 31.12°, rel. 54.5
- 2θ = 32.22°, rel. 42.4
- 2θ = 35.26°, rel. 39.7
- 2θ = 36.55°, rel. 80.6
- 2θ = 37.63°, rel. 100.0
- 2θ = 41.30°, rel. 66.2
- 2θ = 42.56°, rel. 49.2

***

This entry pairs a crystal structure of PmIrF with its theoretical XRD peak list. Radiation: Cu Kα (λ = 1.5418 Å). Structure: the PBE geometry in Alexandria.
No peak broadening, texture or thermal motion is included.

Atomic structure:
```
PmIrF
1.0
-1.563 2.345 7.716
1.563 -2.345 7.716
1.563 2.345 -7.716
Pm Ir F
2 2 2
direct
0.108 0.108 0.000
0.892 0.892 0.000
0.258 0.758 0.500
0.742 0.242 0.500
0.246 0.500 0.746
0.754 0.500 0.254
```

The 10 most intense peaks (2θ from 10° to 80°), in order of rising 2θ:
- 2θ = 11.47°, rel. 98.9
- 2θ = 19.78°, rel. 38.3
- 2θ = 34.84°, rel. 54.1
- 2θ = 36.45°, rel. 69.4
- 2θ = 38.38°, rel. 31.3
- 2θ = 40.19°, rel. 17.0
- 2θ = 41.88°, rel. 100.0
- 2θ = 52.83°, rel. 20.9
- 2θ = 71.02°, rel. 18.5
- 2θ = 71.80°, rel. 20.3

***

This entry pairs a crystal structure of Rb4IrF10 with its theoretical XRD peak list. Radiation: Cu Kα (λ = 1.5418 Å). Structure: the PBE geometry in Alexandria.
No peak broadening, texture or thermal motion is included.

Atomic structure:
```
Rb4IrF10
1.0
-4.910 4.910 3.105
4.910 -4.910 3.105
4.910 4.910 -3.105
Rb Ir F
4 1 10
direct
0.102 0.298 0.401
0.298 0.898 0.196
0.702 0.102 0.804
0.898 0.702 0.599
0.500 0.500 0.000
0.164 0.233 0.773
0.233 0.461 0.069
0.250 0.750 0.500
0.392 0.164 0.931
0.461 0.392 0.227
0.539 0.608 0.773
0.608 0.836 0.069
0.750 0.250 0.500
0.767 0.539 0.931
0.836 0.767 0.227
```

The 10 most intense peaks (2θ from 10° to 80°), in order of rising 2θ:
- 2θ = 12.75°, rel. 17.0
- 2θ = 16.89°, rel. 17.6
- 2θ = 24.83°, rel. 100.0
- 2θ = 28.75°, rel. 24.5
- 2θ = 41.11°, rel. 55.7
- 2θ = 48.62°, rel. 43.4
- 2θ = 50.93°, rel. 10.5
- 2θ = 65.51°, rel. 21.4
- 2θ = 67.44°, rel. 15.1
- 2θ = 74.91°, rel. 14.4

***

This entry pairs a crystal structure of RbIrF4 with its theoretical XRD peak list. Radiation: Cu Kα (λ = 1.5418 Å). Structure: the PBE geometry in Alexandria.
No peak broadening, texture or thermal motion is included.

Atomic structure:
```
RbIrF4
1.0
-3.269 3.269 3.606
3.269 -3.269 3.606
3.269 3.269 -3.606
Rb Ir F
1 1 4
direct
0.000 0.000 0.000
0.250 0.750 0.500
0.042 0.542 0.085
0.042 0.958 0.500
0.458 0.542 0.500
0.458 0.958 0.915
```

The 10 most intense peaks (2θ from 10° to 80°), in order of rising 2θ:
- 2θ = 18.32°, rel. 100.0
- 2θ = 19.20°, rel. 9.7
- 2θ = 27.28°, rel. 15.4
- 2θ = 31.47°, rel. 40.5
- 2θ = 33.06°, rel. 32.9
- 2θ = 38.97°, rel. 16.0
- 2θ = 39.96°, rel. 13.8
- 2θ = 49.06°, rel. 11.2
- 2θ = 50.91°, rel. 18.4
- 2θ = 52.00°, rel. 15.5